No. 1
Structure and calculated PXRD pattern of LaPdO3 (the PBE geometry in the Materials Project; Cu Ka).
Peak positions follow from Bragg's law for the DFT cell and can differ from measured ones.

Largest 10 diffraction maxima, in order of rising 2θ, 15° ≤ 2θ ≤ 90°:
d (Å)  Position (°2θ)  I_rel
3.651  24.38  14
3.018  29.60  21
2.845  31.45  100
2.821  31.72  34
2.061  43.93  19
1.965  46.19  13
1.842  49.48  12
1.634  56.31  22
1.613  57.11  11
1.422  65.64  10

abc: 6.035 7.861 5.644
angles: 90.00 90.00 90.00
Space group Pnma (No. 62)
One atom of each set of equivalent atoms:
La1 0.070 0.250 0.020 x4
Pd1 0.000 0.000 0.500 x4
O1 0.040 0.750 0.390 x4
O2 0.199 0.552 0.806 x8

=====

No. 2
Structure and calculated PXRD pattern of La2Pt2O7 (the PBE geometry in the Materials Project; Cu Ka).
Peak positions follow from Bragg's law for the DFT cell and can differ from measured ones.

Largest 10 diffraction maxima, in order of rising 2θ, 15° ≤ 2θ ≤ 90°:
d (Å)  Position (°2θ)  I_rel
3.500  25.45  32
3.340  26.69  30
3.233  27.59  23
3.060  29.18  36
3.058  29.20  33
2.829  31.63  43
2.781  32.18  100
1.992  45.54  26
1.629  56.51  20
1.624  56.68  28

abc: 7.967 5.658 13.506
angles: 90.00 98.41 90.00
Space group P2_1 (No. 4)
One atom of each set of equivalent atoms:
La1 0.146 0.000 0.073 x2
La2 0.227 0.430 0.406 x2
La3 0.283 0.916 0.629 x2
La4 0.354 0.459 0.896 x2
Pt1 0.028 0.433 0.610 x2
Pt2 0.076 0.942 0.813 x2
Pt3 0.418 0.444 0.185 x2
Pt4 0.474 0.932 0.388 x2
O1 0.018 0.118 0.680 x2
O2 0.053 0.733 0.521 x2
O3 0.079 0.217 0.908 x2
O4 0.124 0.731 0.932 x2
O5 0.127 0.635 0.733 x2
O6 0.177 0.334 0.206 x2
O7 0.227 0.013 0.407 x2
O8 0.272 0.345 0.588 x2
O9 0.327 0.056 0.809 x2
O10 0.374 0.731 0.102 x2
O11 0.404 0.246 0.060 x2
O12 0.430 0.614 0.320 x2
O13 0.461 0.733 0.522 x2
O14 0.489 0.634 0.735 x2

=====

No. 3
Structure and calculated PXRD pattern of La2Pt2O7 (the PBE geometry in the Materials Project; Cu Ka).
Peak positions follow from Bragg's law for the DFT cell and can differ from measured ones.

Largest 10 diffraction maxima, in order of rising 2θ, 15° ≤ 2θ ≤ 90°:
d (Å)  Position (°2θ)  I_rel
3.204  27.84  4
3.068  29.11  100
2.657  33.74  36
2.045  44.29  1
1.879  48.46  46
1.602  57.53  45
1.534  60.34  11
1.328  70.95  7
1.219  78.46  18
1.188  80.91  15

abc: 10.627 10.627 10.627
angles: 90.00 90.00 90.00
Space group Fd-3m (No. 227, origin choice 2)
One atom of each set of equivalent atoms:
La1 0.000 0.000 0.000 x16
Pt1 0.000 0.000 0.500 x16
O1 0.083 0.375 0.875 x48
O2 0.125 0.125 0.125 x8

=====

No. 4
Structure and calculated PXRD pattern of LaPtO3 (the PBE geometry in the Materials Project; Cu Ka).
Peak positions follow from Bragg's law for the DFT cell and can differ from measured ones.

Largest 10 diffraction maxima, in order of rising 2θ, 15° ≤ 2θ ≤ 90°:
d (Å)  Position (°2θ)  I_rel
4.089  21.73  6
2.892  30.93  100
2.045  44.30  27
1.829  49.86  3
1.669  55.00  41
1.446  64.45  17
1.363  68.88  1
1.293  73.19  18
1.180  81.55  6
1.093  89.72  22

abc: 4.089 4.089 4.089
angles: 90.00 90.00 90.00
Space group Pm-3m (No. 221)
One atom of each set of equivalent atoms:
La1 0.000 0.000 0.000 x1
Pt1 0.500 0.500 0.500 x1
O1 0.000 0.500 0.500 x3

=====

No. 5
Structure and calculated PXRD pattern of La3Re2O9 (the PBE geometry in the Materials Project; Cu Ka).
Peak positions follow from Bragg's law for the DFT cell and can differ from measured ones.

Largest 10 diffraction maxima, in order of rising 2θ, 15° ≤ 2θ ≤ 90°:
d (Å)  Position (°2θ)  I_rel
5.240  16.92  29
5.020  17.67  38
3.446  25.85  65
3.413  26.11  75
3.388  26.31  99
3.227  27.64  100
2.894  30.89  59
2.847  31.42  84
1.993  45.51  33
1.723  53.16  31

abc: 5.706 6.922 11.229
angles: 77.45 75.64 69.23
Space group P-1 (No. 2)
One atom of each set of equivalent atoms:
La1 0.004 0.223 0.269 x2
La2 0.224 0.162 0.882 x2
La3 0.283 0.595 0.380 x2
Re1 0.356 0.123 0.570 x2
Re2 0.490 0.611 0.909 x2
O1 0.065 0.115 0.711 x2
O2 0.113 0.251 0.461 x2
O3 0.146 0.812 0.936 x2
O4 0.179 0.509 0.190 x2
O5 0.306 0.417 0.589 x2
O6 0.359 0.479 0.816 x2
O7 0.373 0.821 0.578 x2
O8 0.386 0.172 0.072 x2
O9 0.415 0.940 0.313 x2

=====

No. 6
Structure and calculated PXRD pattern of La4Ru6O19 (the PBE geometry in the Materials Project; Cu Ka).
Peak positions follow from Bragg's law for the DFT cell and can differ from measured ones.

Largest 10 diffraction maxima, in order of rising 2θ, 15° ≤ 2θ ≤ 90°:
d (Å)  Position (°2θ)  I_rel
3.711  23.98  84
2.875  31.11  100
2.624  34.17  15
2.430  37.00  43
2.143  42.18  42
1.856  49.10  21
1.783  51.24  55
1.660  55.35  26
1.515  61.17  37
1.237  77.10  18

abc: 9.091 9.091 9.091
angles: 90.00 90.00 90.00
Space group I23 (No. 197)
One atom of each set of equivalent atoms:
La1 0.160 0.160 0.840 x8
Ru1 0.000 0.138 0.500 x12
O1 0.000 0.000 0.000 x2
O2 0.000 0.000 0.326 x12
O3 0.016 0.284 0.343 x24

=====

No. 7
Structure and calculated PXRD pattern of LaRuO3 (the PBE geometry in the Materials Project; Cu Ka).
Peak positions follow from Bragg's law for the DFT cell and can differ from measured ones.

Largest 10 diffraction maxima, in order of rising 2θ, 15° ≤ 2θ ≤ 90°:
d (Å)  Position (°2θ)  I_rel
3.584  24.85  12
2.957  30.23  22
2.821  31.72  100
2.738  32.70  24
2.009  45.13  20
1.981  45.80  14
1.806  50.54  11
1.605  57.41  11
1.596  57.75  21
1.411  66.26  11

abc: 5.913 7.925 5.476
angles: 90.00 90.00 90.00
Space group Pnma (No. 62)
One atom of each set of equivalent atoms:
La1 0.065 0.250 0.020 x4
Ru1 0.000 0.000 0.500 x4
O1 0.034 0.750 0.401 x4
O2 0.201 0.550 0.808 x8

=====

No. 8
Structure and calculated PXRD pattern of La3RuO7 (the PBE geometry in the Materials Project; Cu Ka).
Peak positions follow from Bragg's law for the DFT cell and can differ from measured ones.

Largest 10 diffraction maxima, in order of rising 2θ, 15° ≤ 2θ ≤ 90°:
d (Å)  Position (°2θ)  I_rel
3.381  26.36  17
3.173  28.12  100
3.123  28.58  77
2.894  30.89  18
2.800  31.97  20
2.691  33.29  35
2.068  43.78  12
1.940  46.82  41
1.926  47.20  18
1.639  56.11  23

abc: 11.198 7.526 7.702
angles: 90.00 90.00 90.00
Space group Cmcm (No. 63)
One atom of each set of equivalent atoms:
La1 0.000 0.000 0.000 x4
La2 0.221 0.312 0.250 x8
Ru1 0.000 0.500 0.000 x4
O1 0.000 0.421 0.250 x4
O2 0.124 0.317 0.540 x16
O3 0.131 0.030 0.250 x8

=====

No. 9
Structure and calculated PXRD pattern of La3RuO7 (the PBE geometry in the Materials Project; Cu Ka).
Peak positions follow from Bragg's law for the DFT cell and can differ from measured ones.

Largest 10 diffraction maxima, in order of rising 2θ, 15° ≤ 2θ ≤ 90°:
d (Å)  Position (°2θ)  I_rel
3.514  25.35  16
3.344  26.66  20
3.163  28.21  100
3.058  29.20  27
2.942  30.38  63
2.884  31.01  52
2.216  40.72  18
2.098  43.12  25
1.714  53.46  15
1.672  54.91  18

abc: 8.912 5.768 12.633
angles: 90.00 104.47 90.00
Space group P2_1/c (No. 14)
One atom of each set of equivalent atoms:
La1 0.001 0.011 0.141 x4
La2 0.296 0.018 0.427 x4
La3 0.430 0.514 0.632 x4
Ru1 0.215 0.545 0.168 x4
O1 0.009 0.069 0.331 x4
O2 0.172 0.738 0.533 x4
O3 0.191 0.241 0.577 x4
O4 0.239 0.648 0.747 x4
O5 0.251 0.117 0.808 x4
O6 0.436 0.552 0.177 x4
O7 0.493 0.741 0.489 x4